# 1
Computed X-ray powder pattern of Tm4InHgC2 for Cu Ka, from the GGA-PBE geometry in OQMD.

Top 10 peaks for 2θ = 10–90°, low angle first:
2θ 29.0, intensity 23; 2θ 33.7, intensity 100; 2θ 34.1, intensity 20; 2θ 45.4, intensity 16; 2θ 51.4, intensity 21; 2θ 60.9, intensity 18; 2θ 62.9, intensity 17; 2θ 63.2, intensity 21; 2θ 83.7, intensity 7; 2θ 85.5, intensity 15

Cell and atoms:
Cell lengths 3.554, 3.554, 15.759 Å; angles 90.00, 90.00, 120.00 degrees
Fractional positions:
Tm (0.000, 0.000, 0.162)
Tm (0.000, 0.000, 0.838)
Tm (0.333, 0.667, 0.330)
Tm (0.333, 0.667, 0.670)
In (0.000, 0.000, 0.500)
Hg (0.333, 0.667, 0.000)
C (0.667, 0.333, 0.245)
C (0.667, 0.333, 0.755)


# 2
Computed X-ray powder pattern of K2Hg3C8N8O8 for Cu Ka, from the GGA-PBE geometry in OQMD.

Top 10 peaks for 2θ = 10–90°, low angle first:
2θ 18.6, intensity 54; 2θ 19.1, intensity 100; 2θ 24.5, intensity 57; 2θ 25.4, intensity 83; 2θ 26.0, intensity 55; 2θ 26.3, intensity 65; 2θ 26.7, intensity 44; 2θ 27.3, intensity 56; 2θ 29.1, intensity 88; 2θ 29.9, intensity 53

Cell and atoms:
Cell lengths 3.877, 10.471, 10.664 Å; angles 91.96, 95.34, 95.08 degrees
Fractional positions:
K (0.208, 0.489, 0.292)
K (0.792, 0.511, 0.708)
Hg (0.000, 0.000, 0.500)
Hg (0.269, 0.884, 0.107)
Hg (0.731, 0.116, 0.893)
C (0.216, 0.230, 0.699)
C (0.218, 0.156, 0.177)
C (0.298, 0.634, 0.980)
C (0.300, 0.747, 0.549)
C (0.700, 0.253, 0.451)
C (0.702, 0.366, 0.020)
C (0.782, 0.844, 0.823)
C (0.784, 0.770, 0.301)
N (0.191, 0.121, 0.734)
N (0.218, 0.682, 0.076)
N (0.310, 0.086, 0.096)
N (0.345, 0.860, 0.531)
N (0.655, 0.140, 0.469)
N (0.690, 0.914, 0.904)
N (0.782, 0.318, 0.924)
N (0.809, 0.879, 0.266)
O (0.129, 0.230, 0.253)
O (0.239, 0.338, 0.661)
O (0.282, 0.634, 0.566)
O (0.369, 0.580, 0.886)
O (0.631, 0.420, 0.114)
O (0.718, 0.366, 0.434)
O (0.761, 0.662, 0.339)
O (0.871, 0.770, 0.747)


# 3
Computed X-ray powder pattern of K2HgC4S4N4 for Cu Ka, from the GGA-PBE geometry in OQMD.

Top 10 peaks for 2θ = 10–90°, low angle first:
2θ 12.7, intensity 100; 2θ 13.9, intensity 28; 2θ 17.1, intensity 74; 2θ 19.0, intensity 29; 2θ 20.7, intensity 50; 2θ 23.7, intensity 33; 2θ 27.5, intensity 36; 2θ 28.6, intensity 41; 2θ 34.2, intensity 30; 2θ 42.9, intensity 25

Cell and atoms:
Cell lengths 7.149, 7.149, 13.237 Å; angles 102.35, 102.35, 81.48 degrees
Fractional positions:
K (0.113, 0.210, 0.433)
K (0.210, 0.113, 0.933)
K (0.790, 0.887, 0.067)
K (0.887, 0.790, 0.567)
Hg (0.480, 0.520, 0.250)
Hg (0.520, 0.480, 0.750)
C (0.144, 0.246, 0.695)
C (0.246, 0.144, 0.195)
C (0.308, 0.670, 0.462)
C (0.330, 0.692, 0.038)
C (0.670, 0.308, 0.962)
C (0.692, 0.330, 0.538)
C (0.754, 0.856, 0.805)
C (0.856, 0.754, 0.305)
S (0.177, 0.454, 0.776)
S (0.204, 0.578, 0.092)
S (0.422, 0.796, 0.408)
S (0.454, 0.177, 0.276)
S (0.546, 0.823, 0.724)
S (0.578, 0.204, 0.592)
S (0.796, 0.422, 0.908)
S (0.823, 0.546, 0.224)
N (0.097, 0.116, 0.138)
N (0.116, 0.097, 0.638)
N (0.224, 0.584, 0.502)
N (0.416, 0.776, 0.998)
N (0.584, 0.224, 0.002)
N (0.776, 0.416, 0.498)
N (0.884, 0.903, 0.362)
N (0.903, 0.884, 0.862)


# 4
Computed X-ray powder pattern of Lu4HgSbC2 for Cu Ka, from the GGA-PBE geometry in OQMD.

Top 10 peaks for 2θ = 10–90°, low angle first:
2θ 29.1, intensity 24; 2θ 34.2, intensity 100; 2θ 35.7, intensity 19; 2θ 46.7, intensity 15; 2θ 51.6, intensity 22; 2θ 63.2, intensity 17; 2θ 63.4, intensity 17; 2θ 64.3, intensity 21; 2θ 85.8, intensity 8; 2θ 86.1, intensity 15

Cell and atoms:
Cell lengths 3.542, 3.542, 15.102 Å; angles 90.00, 90.00, 120.00 degrees
Fractional positions:
Lu (0.000, 0.000, 0.164)
Lu (0.000, 0.000, 0.836)
Lu (0.333, 0.667, 0.335)
Lu (0.333, 0.667, 0.665)
Hg (0.000, 0.000, 0.500)
Sb (0.333, 0.667, 0.000)
C (0.667, 0.333, 0.247)
C (0.667, 0.333, 0.753)


# 5
Computed X-ray powder pattern of LuScHgC for Cu Ka, from the GGA-PBE geometry in OQMD.

Top 10 peaks for 2θ = 10–90°, low angle first:
2θ 30.1, intensity 22; 2θ 32.3, intensity 16; 2θ 35.0, intensity 100; 2θ 35.3, intensity 20; 2θ 47.0, intensity 15; 2θ 53.4, intensity 21; 2θ 63.1, intensity 16; 2θ 65.4, intensity 16; 2θ 65.6, intensity 20; 2θ 89.2, intensity 15

Cell and atoms:
Cell lengths 3.434, 3.434, 15.261 Å; angles 90.00, 90.00, 120.00 degrees
Fractional positions:
Lu (0.333, 0.667, 0.087)
Lu (0.667, 0.333, 0.913)
Sc (0.333, 0.667, 0.421)
Sc (0.667, 0.333, 0.579)
Hg (0.333, 0.667, 0.742)
Hg (0.667, 0.333, 0.258)
C (0.000, 0.000, 0.000)
C (0.000, 0.000, 0.500)


# 6
Computed X-ray powder pattern of LuScHgC for Cu Ka, from the GGA-PBE geometry in OQMD.

Top 10 peaks for 2θ = 10–90°, low angle first:
2θ 17.4, intensity 10; 2θ 30.0, intensity 28; 2θ 34.9, intensity 100; 2θ 35.3, intensity 20; 2θ 47.0, intensity 19; 2θ 53.3, intensity 20; 2θ 63.1, intensity 18; 2θ 65.3, intensity 16; 2θ 65.6, intensity 20; 2θ 89.2, intensity 15

Cell and atoms:
Cell lengths 3.436, 3.436, 15.249 Å; angles 90.00, 90.00, 120.00 degrees
Fractional positions:
Lu (0.000, 0.000, 0.167)
Lu (0.000, 0.000, 0.833)
Sc (0.333, 0.667, 0.333)
Sc (0.333, 0.667, 0.667)
Hg (0.000, 0.000, 0.500)
Hg (0.333, 0.667, 0.000)
C (0.667, 0.333, 0.256)
C (0.667, 0.333, 0.744)


# 7
Computed X-ray powder pattern of HgC2N2 for Cu Ka, from the GGA-PBE geometry in OQMD.

Top 10 peaks for 2θ = 10–90°, low angle first:
2θ 18.4, intensity 97; 2θ 23.0, intensity 15; 2θ 24.2, intensity 100; 2θ 26.1, intensity 23; 2θ 29.6, intensity 15; 2θ 35.9, intensity 60; 2θ 37.2, intensity 21; 2θ 41.8, intensity 15; 2θ 45.6, intensity 19; 2θ 48.2, intensity 19

Cell and atoms:
Cell lengths 8.108, 8.108, 8.108 Å; angles 106.87, 106.87, 114.80 degrees
Fractional positions:
Hg (0.083, 0.625, 0.958)
Hg (0.375, 0.333, 0.458)
Hg (0.667, 0.125, 0.042)
Hg (0.875, 0.917, 0.542)
C (0.040, 0.796, 0.161)
C (0.115, 0.454, 0.744)
C (0.121, 0.960, 0.756)
C (0.204, 0.365, 0.244)
C (0.546, 0.290, 0.661)
C (0.629, 0.885, 0.339)
C (0.635, 0.879, 0.839)
C (0.710, 0.371, 0.256)
N (0.026, 0.896, 0.287)
N (0.104, 0.390, 0.130)
N (0.140, 0.354, 0.630)
N (0.260, 0.974, 0.870)
N (0.490, 0.860, 0.213)
N (0.610, 0.740, 0.713)
N (0.646, 0.276, 0.787)
N (0.724, 0.510, 0.370)


# 8
Computed X-ray powder pattern of HgCN2 for Cu Ka, from the GGA-PBE geometry in OQMD.

Top 10 peaks for 2θ = 10–90°, low angle first:
2θ 21.6, intensity 100; 2θ 25.2, intensity 71; 2θ 25.9, intensity 33; 2θ 27.2, intensity 27; 2θ 30.3, intensity 72; 2θ 33.8, intensity 28; 2θ 34.0, intensity 60; 2θ 43.1, intensity 22; 2θ 46.1, intensity 47; 2θ 47.1, intensity 42

Cell and atoms:
Cell lengths 6.521, 6.889, 10.593 Å; angles 90.00, 90.00, 90.00 degrees
Fractional positions:
Hg (0.153, 0.201, 0.127)
Hg (0.153, 0.299, 0.627)
Hg (0.347, 0.701, 0.127)
Hg (0.347, 0.799, 0.627)
Hg (0.653, 0.201, 0.373)
Hg (0.653, 0.299, 0.873)
Hg (0.847, 0.701, 0.373)
Hg (0.847, 0.799, 0.873)
C (0.167, 0.096, 0.385)
C (0.167, 0.404, 0.885)
C (0.333, 0.596, 0.385)
C (0.333, 0.904, 0.885)
C (0.667, 0.096, 0.115)
C (0.667, 0.404, 0.615)
C (0.833, 0.596, 0.115)
C (0.833, 0.904, 0.615)
N (0.072, 0.049, 0.289)
N (0.072, 0.451, 0.789)
N (0.232, 0.625, 0.482)
N (0.232, 0.875, 0.982)
N (0.268, 0.125, 0.482)
N (0.268, 0.375, 0.982)
N (0.428, 0.549, 0.289)
N (0.428, 0.951, 0.789)
N (0.572, 0.049, 0.211)
N (0.572, 0.451, 0.711)
N (0.732, 0.625, 0.018)
N (0.732, 0.875, 0.518)
N (0.768, 0.125, 0.018)
N (0.768, 0.375, 0.518)
N (0.928, 0.549, 0.211)
N (0.928, 0.951, 0.711)


Q: What is the formula in the fifth record?
A: LuScHgC